Entry 1:
Ti11In3: calculated powder diffraction line list (Cu Kα X-rays), based on a cell relaxed with PBE.
Intensities are scaled so that the largest is 100.

Principal peaks in the range 10° ≤ 2θ ≤ 90°, by angle:
d (Å)  I/Imax
6.281  24
4.475  26
3.140  21
2.453  11
2.395  45
2.360  32
2.285  100
2.225  51
1.681  22
1.361  19
1.283  10
1.202  11

Cell and atoms:
abc: 7.9711 7.9711 7.9711
angles: 145.03 114.97 76.02
Fractional positions:
Ti 0.0000 0.0000 0.0000
Ti 0.1171 0.2787 0.8383
Ti 0.1997 0.6997 0.5000
Ti 0.2247 0.8984 0.3262
Ti 0.4278 0.1016 0.3262
Ti 0.4404 0.2787 0.1617
Ti 0.5596 0.7213 0.8383
Ti 0.5722 0.8984 0.6738
Ti 0.7753 0.1016 0.6738
Ti 0.8003 0.3003 0.5000
Ti 0.8829 0.7213 0.1617
In 0.1777 0.5000 0.6777
In 0.5000 0.5000 0.0000
In 0.8223 0.5000 0.3223

---

Entry 2:
Ti8In5: calculated powder diffraction line list (Cu Kα X-rays), based on a cell relaxed with PBE.
Intensities are scaled so that the largest is 100.

Principal peaks in the range 10° ≤ 2θ ≤ 90°, by angle:
d (Å)  I/Imax
3.333  24
2.887  6
2.774  5
2.357  100
1.925  5
1.826  4
1.741  5
1.667  12
1.491  4
1.361  24
1.231  7
1.179  6

Cell and atoms:
abc: 10.0003 10.0003 10.0003
angles: 90.00 90.00 90.00
Fractional positions:
Ti 0.0000 0.0000 0.3584
Ti 0.0000 0.0000 0.6416
Ti 0.0000 0.3584 0.0000
Ti 0.0000 0.6416 0.0000
Ti 0.0965 0.0965 0.0965
Ti 0.0965 0.9035 0.9035
Ti 0.1385 0.5000 0.5000
Ti 0.1690 0.1690 0.5188
Ti 0.1690 0.4812 0.8310
Ti 0.1690 0.5188 0.1690
Ti 0.1690 0.8310 0.4812
Ti 0.1701 0.1701 0.8299
Ti 0.1701 0.8299 0.1701
Ti 0.3584 0.0000 0.0000
Ti 0.4812 0.1690 0.8310
Ti 0.4812 0.8310 0.1690
Ti 0.5000 0.1385 0.5000
Ti 0.5000 0.5000 0.1385
Ti 0.5000 0.5000 0.8615
Ti 0.5000 0.8615 0.5000
Ti 0.5188 0.1690 0.1690
Ti 0.5188 0.8310 0.8310
Ti 0.6416 0.0000 0.0000
Ti 0.8299 0.1701 0.1701
Ti 0.8299 0.8299 0.8299
Ti 0.8310 0.1690 0.4812
Ti 0.8310 0.4812 0.1690
Ti 0.8310 0.5188 0.8310
Ti 0.8310 0.8310 0.5188
Ti 0.8615 0.5000 0.5000
Ti 0.9035 0.0965 0.9035
Ti 0.9035 0.9035 0.0965
In 0.0274 0.3091 0.3091
In 0.0274 0.6909 0.6909
In 0.3091 0.0274 0.3091
In 0.3091 0.3091 0.0274
In 0.3091 0.6909 0.9726
In 0.3091 0.9726 0.6909
In 0.3418 0.3418 0.3418
In 0.3418 0.6582 0.6582
In 0.3494 0.3494 0.6506
In 0.3494 0.6506 0.3494
In 0.6506 0.3494 0.3494
In 0.6506 0.6506 0.6506
In 0.6582 0.3418 0.6582
In 0.6582 0.6582 0.3418
In 0.6909 0.0274 0.6909
In 0.6909 0.3091 0.9726
In 0.6909 0.6909 0.0274
In 0.6909 0.9726 0.3091
In 0.9726 0.3091 0.6909
In 0.9726 0.6909 0.3091

---

Entry 3:
Ti3In4: calculated powder diffraction line list (Cu Kα X-rays), based on a cell relaxed with PBE.
Intensities are scaled so that the largest is 100.

Principal peaks in the range 10° ≤ 2θ ≤ 90°, by angle:
d (Å)  I/Imax
3.530  46
2.978  55
2.769  44
2.477  51
2.421  100
2.276  48
2.166  43
2.028  44
1.879  31
1.489  30
1.381  24
1.331  24

Cell and atoms:
abc: 9.9835 9.9835 2.9778
angles: 90.00 90.00 90.00
Fractional positions:
Ti 0.0000 0.5000 0.0000
Ti 0.1755 0.3245 0.5000
Ti 0.3245 0.8245 0.5000
Ti 0.5000 0.0000 0.0000
Ti 0.6755 0.1755 0.5000
Ti 0.8245 0.6755 0.5000
In 0.0606 0.7879 0.0000
In 0.2121 0.0606 0.0000
In 0.2879 0.5606 0.0000
In 0.4394 0.2879 0.0000
In 0.5606 0.7121 0.0000
In 0.7121 0.4394 0.0000
In 0.7879 0.9394 0.0000
In 0.9394 0.2121 0.0000

---

Entry 4:
Ti4In5: calculated powder diffraction line list (Cu Kα X-rays), based on a cell relaxed with PBE.
Intensities are scaled so that the largest is 100.

Principal peaks in the range 10° ≤ 2θ ≤ 90°, by angle:
d (Å)  I/Imax
3.092  53
2.706  45
2.624  54
2.506  100
2.163  52
2.017  14
1.884  30
1.599  13
1.491  19
1.359  20
1.295  15
1.203  14

Cell and atoms:
abc: 6.5956 6.5956 6.5956
angles: 99.11 99.11 133.12
Fractional positions:
Ti 0.0454 0.6392 0.6846
Ti 0.3608 0.0454 0.4063
Ti 0.6392 0.9546 0.5937
Ti 0.9546 0.3608 0.3154
In 0.0000 0.0000 0.0000
In 0.2868 0.3792 0.6659
In 0.3792 0.7132 0.0924
In 0.6208 0.2868 0.9076
In 0.7132 0.6208 0.3341

---

Entry 5:
Ti2In5: calculated powder diffraction line list (Cu Kα X-rays), based on a cell relaxed with PBE.
Intensities are scaled so that the largest is 100.

Principal peaks in the range 10° ≤ 2θ ≤ 90°, by angle:
d (Å)  I/Imax
3.190  60
3.006  70
2.798  43
2.502  47
2.447  100
2.378  32
2.188  79
2.048  47
1.898  31
1.503  30
1.427  25
1.289  29

Cell and atoms:
abc: 10.0879 10.0879 3.0063
angles: 90.00 90.00 90.00
Fractional positions:
Ti 0.1789 0.3211 0.0000
Ti 0.3211 0.8211 0.0000
Ti 0.6789 0.1789 0.0000
Ti 0.8211 0.6789 0.0000
In 0.0000 0.5000 0.5000
In 0.0641 0.7925 0.5000
In 0.2075 0.0641 0.5000
In 0.2925 0.5641 0.5000
In 0.4359 0.2925 0.5000
In 0.5000 0.0000 0.5000
In 0.5641 0.7075 0.5000
In 0.7075 0.4359 0.5000
In 0.7925 0.9359 0.5000
In 0.9359 0.2075 0.5000

---

Entry 6:
TiTlIn2: calculated powder diffraction line list (Cu Kα X-rays), based on a cell relaxed with PBE.
Intensities are scaled so that the largest is 100.

Principal peaks in the range 10° ≤ 2θ ≤ 90°, by angle:
d (Å)  I/Imax
4.433  19
3.182  17
2.585  100
2.285  18
2.216  32
2.031  5
1.819  7
1.591  22
1.567  11
1.370  13
1.340  25
1.293  11

Cell and atoms:
abc: 4.4330 4.4330 4.5707
angles: 90.00 90.00 90.00
Fractional positions:
Ti 0.0000 0.0000 0.0000
Tl 0.5000 0.5000 0.0000
In 0.0000 0.5000 0.5000
In 0.5000 0.0000 0.5000

---

Entry 7:
Ti9Tl2In: calculated powder diffraction line list (Cu Kα X-rays), based on a cell relaxed with PBE.
Intensities are scaled so that the largest is 100.

Principal peaks in the range 10° ≤ 2θ ≤ 90°, by angle:
d (Å)  I/Imax
4.172  47
2.950  41
2.409  100
2.086  48
1.866  23
1.703  17
1.475  30
1.391  11
1.319  8
1.258  35
1.204  10
1.115  10

Cell and atoms:
abc: 4.1713 4.1713 12.5237
angles: 90.00 90.00 90.00
Fractional positions:
Ti 0.0000 0.0000 0.0000
Ti 0.0000 0.0000 0.3335
Ti 0.0000 0.0000 0.6665
Ti 0.0000 0.5000 0.1652
Ti 0.0000 0.5000 0.5000
Ti 0.0000 0.5000 0.8348
Ti 0.5000 0.0000 0.1652
Ti 0.5000 0.0000 0.5000
Ti 0.5000 0.0000 0.8348
Tl 0.5000 0.5000 0.3328
Tl 0.5000 0.5000 0.6672
In 0.5000 0.5000 0.0000

---

Entry 8:
Ti6TlIn3: calculated powder diffraction line list (Cu Kα X-rays), based on a cell relaxed with PBE.
Intensities are scaled so that the largest is 100.

Principal peaks in the range 10° ≤ 2θ ≤ 90°, by angle:
d (Å)  I/Imax
5.012  40
4.084  23
3.176  40
3.158  46
2.681  29
2.671  26
2.517  38
2.505  100
2.247  21
2.234  60
2.132  34
1.768  20

Cell and atoms:
abc: 8.1690 8.1690 7.0648
angles: 90.00 90.00 119.48
Fractional positions:
Ti 0.0227 0.5715 0.4951
Ti 0.0570 0.9430 0.5000
Ti 0.2214 0.4036 0.2844
Ti 0.2605 0.7395 0.1978
Ti 0.4036 0.2214 0.7844
Ti 0.4285 0.9773 0.4951
Ti 0.5715 0.0227 0.9951
Ti 0.5964 0.7786 0.2844
Ti 0.7395 0.2605 0.6978
Ti 0.7786 0.5964 0.7844
Ti 0.9430 0.0570 0.0000
Ti 0.9773 0.4285 0.9951
Tl 0.1855 0.8145 0.8185
Tl 0.8145 0.1855 0.3185
In 0.1118 0.2965 0.6716
In 0.2965 0.1118 0.1716
In 0.4249 0.5751 0.9352
In 0.5751 0.4249 0.4352
In 0.7035 0.8882 0.6716
In 0.8882 0.7035 0.1716

---

Which formula does entry 8 have?
Ti6TlIn3